1.
Starting from a crystal structure in Alexandria, relaxed with GGA-PBE, the powder XRD pattern of Ca3Ga3Cu was simulated for Cu Ka.

Main lines, by intensity (10 to 90 degrees two-theta):
| 2θ/deg | I/Imax | index |
| --- | --- | --- |
| 38.86 | 100 | 3 1 2 |
| 31.73 | 55 | 1 1 -4 |
| 41.45 | 50 | 0 2 0 |
| 16.05 | 48 | 2 0 -1 |
| 31.92 | 44 | 3 1 -1 |
| 38.45 | 40 | 4 0 -5 |
| 31.38 | 37 | 1 1 3 |
| 22.15 | 36 | 1 1 0 |
| 36.12 | 28 | 3 1 -4 |
| 62.63 | 25 | 7 1 -3 |

Structure:
```
data_Ca3Ga3Cu
_cell_length_a 11.0469
_cell_length_b 4.3570
_cell_length_c 14.8017
_cell_angle_alpha 90.00
_cell_angle_beta 110.25
_cell_angle_gamma 90.00
_space_group_name_H-M_alt 'C 1 2/m 1'
_space_group_IT_number 12
loop_
_space_group_symop_operation_xyz
'x,y,z'
'-x,-y,-z'
'-x,y,-z'
'x,-y,z'
'x+1/2,y+1/2,z'
'-x+1/2,-y+1/2,-z'
'-x+1/2,y+1/2,-z'
'x+1/2,-y+1/2,z'
loop_
_atom_site_label
_atom_site_type_symbol
_atom_site_fract_x
_atom_site_fract_y
_atom_site_fract_z
Ca1 Ca 0.0264 0.0000 0.3854
Ca2 Ca 0.1082 0.0000 0.9220
Ca3 Ca 0.2491 0.0000 0.2324
Ga1 Ga 0.0446 0.5000 0.2384
Ga2 Ga 0.1047 0.5000 0.0788
Ga3 Ga 0.1548 0.5000 0.5419
Cu1 Cu 0.2397 0.5000 0.3961
```

=====

2.
Starting from a crystal structure in Alexandria, relaxed with GGA-PBE, the powder XRD pattern of KCrSnS4 was simulated for Cu Ka.

Main lines, by intensity (10 to 90 degrees two-theta):
| 2θ/deg | I/Imax | index |
| --- | --- | --- |
| 11.64 | 100 | 0 0 1 |
| 34.33 | 47 | 1 1 -2 |
| 29.16 | 20 | 1 1 -1 |
| 34.98 | 19 | 2 0 1 |
| 39.76 | 16 | 1 1 2 |
| 50.27 | 14 | 3 1 -1 |
| 29.70 | 13 | 2 0 0 |
| 42.49 | 11 | 1 1 -3 |
| 49.36 | 10 | 1 1 3 |
| 26.90 | 9 | 0 1 1 |

Structure:
```
data_KCrSnS4
_cell_length_a 6.2582
_cell_length_b 3.6827
_cell_length_c 7.9073
_cell_angle_alpha 90.00
_cell_angle_beta 106.01
_cell_angle_gamma 90.00
_space_group_name_H-M_alt 'P 1 m 1'
_space_group_IT_number 6
loop_
_space_group_symop_operation_xyz
'x,y,z'
'x,-y,z'
loop_
_atom_site_label
_atom_site_type_symbol
_atom_site_fract_x
_atom_site_fract_y
_atom_site_fract_z
K1 K 0.0000 0.0000 0.0000
Cr1 Cr 0.1371 0.0000 0.5082
Sn1 Sn 0.6370 0.5000 0.5025
S1 S 0.0478 0.5000 0.6816
S2 S 0.2244 0.5000 0.3328
S3 S 0.5205 0.0000 0.6902
S4 S 0.7578 0.0000 0.3184
```